No. 1
Starting from a PBE-relaxed structure, the X-ray diffraction stick pattern of Nd2DyTm2 was computed for Cu Kα.
Intensities are scaled so that the largest is 100.

Largest 10 diffraction maxima, sorted by position, 2θ from 10° to 90°:
2θ 28.22, I 24, (0 0 10); 2θ 29.89, I 40, (0 1 9); 2θ 31.25, I 100, (1 1 4); 2θ 31.50, I 75, (0 2 0); 2θ 33.78, I 35, (1 1 6); 2θ 34.97, I 16, (0 1 11); 2θ 42.78, I 15, (0 2 10); 2θ 45.15, I 16, (1 2 7); 2θ 55.92, I 19, (1 3 4); 2θ 60.29, I 17, (2 2 0)

Atomic structure:
abc: 3.6490 5.6823 31.6324
angles: 90.00 90.00 90.00
Space group Imma (No. 74)
Asymmetric unit:
Nd 0.0000 0.2500 0.0233 (multiplicity 4)
Nd 0.0000 0.2500 0.1234 (multiplicity 4)
Dy 0.0000 0.2500 0.5823 (multiplicity 4)
Tm 0.0000 0.2500 0.2901 (multiplicity 4)
Tm 0.0000 0.2500 0.8017 (multiplicity 4)

No. 2
Starting from a PBE-relaxed structure, the X-ray diffraction stick pattern of TaTi2CuH was computed for Cu Kα.
Intensities are scaled so that the largest is 100.

Largest 10 diffraction maxima, sorted by position, 2θ from 10° to 90°:
2θ 21.75, I 20, (0 0 1); 2θ 22.14, I 22, (1 0 0); 2θ 31.23, I 17, (1 0 1); 2θ 31.51, I 18, (1 1 0); 2θ 38.61, I 100, (1 1 1); 2θ 44.33, I 17, (0 0 2); 2θ 45.16, I 32, (2 0 0); 2θ 65.14, I 21, (2 0 2); 2θ 77.76, I 12, (1 1 3); 2θ 78.94, I 23, (3 1 1)

Atomic structure:
abc: 4.0159 4.0159 4.0865
angles: 90.00 90.00 90.00
Space group P4/mmm (No. 123)
Asymmetric unit:
Ta 0.0000 0.0000 0.0000 (multiplicity 1)
Ti 0.0000 0.5000 0.5000 (multiplicity 2)
Cu 0.5000 0.5000 0.0000 (multiplicity 1)
H 0.0000 0.0000 0.5000 (multiplicity 1)

No. 3
Starting from a PBE-relaxed structure, the X-ray diffraction stick pattern of Tl3Hg6Pb2 was computed for Cu Kα.
Intensities are scaled so that the largest is 100.

Largest 10 diffraction maxima, sorted by position, 2θ from 10° to 90°:
2θ 29.84, I 100, (0 1 11); 2θ 37.54, I 54, (1 0 22); 2θ 39.05, I 16, (0 0 33); 2θ 47.42, I 29, (1 1 0); 2θ 57.04, I 17, (2 0 11); 2θ 60.33, I 13, (0 1 44); 2θ 62.00, I 13, (0 2 22); 2θ 63.05, I 24, (1 1 33); 2θ 77.25, I 14, (1 2 11); 2θ 81.60, I 12, (2 1 22)

Atomic structure:
abc: 3.8345 3.8345 76.1130
angles: 90.00 90.00 120.00
Space group R-3m (No. 166, hexagonal axes)
Asymmetric unit:
Tl 0.0000 0.0000 0.0000 (multiplicity 3)
Tl 0.0000 0.0000 0.2720 (multiplicity 6)
Hg 0.0000 0.0000 0.0917 (multiplicity 6)
Hg 0.0000 0.0000 0.1803 (multiplicity 6)
Hg 0.0000 0.0000 0.3640 (multiplicity 6)
Pb 0.0000 0.0000 0.4557 (multiplicity 6)

No. 4
Starting from a PBE-relaxed structure, the X-ray diffraction stick pattern of La3Y8Th2 was computed for Cu Kα.
Intensities are scaled so that the largest is 100.

Largest 10 diffraction maxima, sorted by position, 2θ from 10° to 90°:
2θ 12.97, I 35, (1 0 0); 2θ 29.93, I 36, (2 2 1); 2θ 30.33, I 36, (2 -1 0); 2θ 30.97, I 100, (0 1 -5); 2θ 31.07, I 56, (2 2 -1); 2θ 31.25, I 57, (2 -1 2); 2θ 31.99, I 75, (0 2 4); 2θ 32.38, I 84, (0 3 -1); 2θ 32.94, I 46, (2 1 4); 2θ 33.42, I 41, (2 0 -3)

Atomic structure:
abc: 7.0493 8.6105 15.3909
angles: 89.53 82.76 77.49
Space group P-1 (No. 2)
Asymmetric unit:
La 0.0000 0.0000 0.0000 (multiplicity 1)
La 0.0000 0.5000 0.5000 (multiplicity 1)
La 0.3175 0.0534 0.1914 (multiplicity 2)
La 0.4365 0.4584 0.3059 (multiplicity 2)
Y 0.0416 0.5685 0.7176 (multiplicity 2)
Y 0.1625 0.6882 0.1417 (multiplicity 2)
Y 0.1937 0.9184 0.7734 (multiplicity 2)
Y 0.2357 0.1336 0.4228 (multiplicity 2)
Y 0.2771 0.8085 0.5539 (multiplicity 2)
Y 0.3168 0.3008 0.8673 (multiplicity 2)
Y 0.4001 0.1951 0.6369 (multiplicity 2)
Y 0.4682 0.6648 0.9339 (multiplicity 2)
Th 0.0081 0.3533 0.0698 (multiplicity 2)
Th 0.0768 0.8132 0.3589 (multiplicity 2)

No. 5
Starting from a PBE-relaxed structure, the X-ray diffraction stick pattern of Dy2Tm6Zr was computed for Cu Kα.
Intensities are scaled so that the largest is 100.

Largest 10 diffraction maxima, sorted by position, 2θ from 10° to 90°:
2θ 29.46, I 41, (1 0 0); 2θ 31.34, I 20, (1 0 3); 2θ 31.66, I 33, (0 0 9); 2θ 32.72, I 37, (1 0 4); 2θ 34.44, I 100, (1 0 5); 2θ 43.79, I 21, (1 0 9); 2θ 52.26, I 33, (1 1 0); 2θ 59.30, I 29, (1 0 14); 2θ 62.41, I 29, (1 1 9); 2θ 64.10, I 17, (2 0 5)

Atomic structure:
abc: 3.5007 3.5007 25.4343
angles: 90.00 90.00 120.00
Space group P-6m2 (No. 187)
Asymmetric unit:
Dy 0.0000 0.0000 0.1755 (multiplicity 2)
Tm 0.0000 0.0000 0.3990 (multiplicity 2)
Tm 0.6667 0.3333 0.0655 (multiplicity 2)
Tm 0.6667 0.3333 0.2872 (multiplicity 2)
Zr 0.6667 0.3333 0.5000 (multiplicity 1)

No. 6
Starting from a PBE-relaxed structure, the X-ray diffraction stick pattern of K3NdNb2O9 was computed for Cu Kα.
Intensities are scaled so that the largest is 100.

Largest 10 diffraction maxima, sorted by position, 2θ from 10° to 90°:
2θ 20.74, I 99, (1 0 1); 2θ 29.35, I 100, (0 1 2); 2θ 29.65, I 94, (1 1 0); 2θ 42.20, I 75, (2 0 2); 2θ 47.27, I 21, (1 1 3); 2θ 47.67, I 21, (2 1 1); 2θ 51.86, I 18, (1 0 4); 2θ 52.42, I 37, (1 2 2); 2θ 60.88, I 21, (0 2 4); 2θ 61.55, I 21, (2 2 0)

Atomic structure:
abc: 6.0264 6.0264 7.4926
angles: 90.00 90.00 120.00
Space group P-3m1 (No. 164)
Asymmetric unit:
K 0.0000 0.0000 0.0000 (multiplicity 1)
K 0.3333 0.6667 0.6847 (multiplicity 2)
Nd 0.0000 0.0000 0.5000 (multiplicity 1)
Nb 0.3333 0.6667 0.1715 (multiplicity 2)
O 0.0000 0.5000 0.0000 (multiplicity 3)
O 0.1772 0.3543 0.3073 (multiplicity 6)